Diffraction record for Pr6Te5Br. The XRD peak list is calculated, not measured: it uses a PBE-relaxed structure and Cu Kα (λ = 1.5418 Å).

Most intense lines, 10 to 80 degrees two-theta, in order of rising 2θ:
d/Å	2theta	I (rel.)
3.205	27.84	100
3.186	28.01	51
2.284	39.46	18
2.265	39.81	37
2.254	39.99	38
1.837	49.62	19

Atomic structure:
```
data_Pr6Te5Br
_chemical_formula_sum 'Pr6 Te5 Br1'
_symmetry_space_group_name_H-M 'P 1'
_symmetry_Int_Tables_number 1
_cell_length_a 7.809
_cell_length_b 7.809
_cell_length_c 7.816
_cell_angle_alpha 99.31
_cell_angle_beta 99.31
_cell_angle_gamma 119.53
loop_
_symmetry_equiv_pos_as_xyz
'x,y,z'
loop_
_atom_site_label
_atom_site_type_symbol
_atom_site_fract_x
_atom_site_fract_y
_atom_site_fract_z
Pr1 Pr 0.056 0.406 0.733
Pr2 Pr 0.223 0.223 0.241
Pr3 Pr 0.406 0.056 0.733
Pr4 Pr 0.594 0.944 0.267
Pr5 Pr 0.777 0.777 0.759
Pr6 Pr 0.944 0.594 0.267
Te1 Te 0.000 0.000 0.500
Te2 Te 0.175 0.825 0.000
Te3 Te 0.347 0.653 0.500
Te4 Te 0.653 0.347 0.500
Te5 Te 0.825 0.175 0.000
Br1 Br 0.500 0.500 0.000
```